# DyTm3Zn4
Theoretical X-ray powder pattern, Cu Kα X-rays. Input: a DFT-relaxed cell (PBE, Alexandria).

Top 10 peaks for 2θ = 10–80°, by angle:
d 3.551, 25.08 deg, rel. 10
d 3.524, 25.27 deg, rel. 19
d 2.501, 35.90 deg, rel. 100
d 2.492, 36.05 deg, rel. 49
d 2.040, 44.41 deg, rel. 9
d 1.776, 51.46 deg, rel. 9
d 1.762, 51.90 deg, rel. 17
d 1.446, 64.43 deg, rel. 18
d 1.440, 64.72 deg, rel. 35
d 1.251, 76.11 deg, rel. 11

Crystal structure
a = 4.983 Å, b = 4.983 Å, c = 7.103 Å
α = 90.00°, β = 90.00°, γ = 90.00°
Element x y z (fractional)
Dy 0.000 0.000 0.000
Tm 0.000 0.000 0.500
Tm 0.500 0.500 0.000
Tm 0.500 0.500 0.500
Zn 0.000 0.500 0.254
Zn 0.000 0.500 0.746
Zn 0.500 0.000 0.254
Zn 0.500 0.000 0.746

# DyTm4Zn4
Theoretical X-ray powder pattern, Cu Kα X-rays. Input: a DFT-relaxed cell (PBE, Alexandria).

Top 10 peaks for 2θ = 10–80°, by angle:
d 3.301, 27.01 deg, rel. 64
d 2.838, 31.52 deg, rel. 100
d 2.760, 32.44 deg, rel. 51
d 2.550, 35.20 deg, rel. 16
d 2.351, 38.28 deg, rel. 22
d 2.083, 43.45 deg, rel. 23
d 2.007, 45.18 deg, rel. 32
d 1.889, 48.17 deg, rel. 28
d 1.741, 52.56 deg, rel. 19
d 1.715, 53.43 deg, rel. 21

Crystal structure
a = 8.976 Å, b = 8.976 Å, c = 5.801 Å
α = 90.00°, β = 90.00°, γ = 90.00°
Element x y z (fractional)
Dy 0.250 0.250 0.250
Dy 0.750 0.750 0.750
Tm 0.072 0.660 0.138
Tm 0.160 0.928 0.638
Tm 0.340 0.572 0.638
Tm 0.428 0.840 0.138
Tm 0.572 0.160 0.862
Tm 0.660 0.428 0.362
Tm 0.840 0.072 0.362
Tm 0.928 0.340 0.862
Zn 0.023 0.614 0.629
Zn 0.114 0.977 0.129
Zn 0.386 0.523 0.129
Zn 0.477 0.886 0.629
Zn 0.523 0.114 0.371
Zn 0.614 0.477 0.871
Zn 0.886 0.023 0.871
Zn 0.977 0.386 0.371

# Dy3Tm3Zr
Theoretical X-ray powder pattern, Cu Kα X-rays. Input: a DFT-relaxed cell (PBE, Alexandria).

Top 10 peaks for 2θ = 10–80°, by angle:
d 3.024, 29.54 deg, rel. 18
d 2.952, 30.28 deg, rel. 11
d 2.763, 32.40 deg, rel. 100
d 2.719, 32.94 deg, rel. 29
d 2.515, 35.70 deg, rel. 45
d 2.259, 39.90 deg, rel. 16
d 1.746, 52.41 deg, rel. 27
d 1.634, 56.30 deg, rel. 27
d 1.476, 62.98 deg, rel. 15
d 1.469, 63.30 deg, rel. 26

Crystal structure
a = 14.037 Å, b = 14.037 Å, c = 14.037 Å
α = 24.88°, β = 24.88°, γ = 24.88°
Element x y z (fractional)
Dy 0.132 0.463 0.801
Dy 0.199 0.868 0.537
Dy 0.463 0.801 0.132
Dy 0.537 0.199 0.868
Dy 0.801 0.132 0.463
Dy 0.868 0.537 0.199
Tm 0.061 0.727 0.396
Tm 0.273 0.604 0.939
Tm 0.396 0.061 0.727
Tm 0.604 0.939 0.273
Tm 0.727 0.396 0.061
Tm 0.939 0.273 0.604
Zr 0.333 0.333 0.333
Zr 0.667 0.667 0.667

# DyTm6Zr2
Theoretical X-ray powder pattern, Cu Kα X-rays. Input: a DFT-relaxed cell (PBE, Alexandria).

Top 10 peaks for 2θ = 10–80°, by angle:
d 2.920, 30.61 deg, rel. 44
d 2.837, 31.53 deg, rel. 21
d 2.782, 32.18 deg, rel. 48
d 2.757, 32.47 deg, rel. 16
d 2.662, 33.66 deg, rel. 96
d 2.653, 33.79 deg, rel. 100
d 1.768, 51.71 deg, rel. 20
d 1.577, 58.51 deg, rel. 15
d 1.536, 60.26 deg, rel. 18
d 1.492, 62.22 deg, rel. 15

Crystal structure
a = 6.548 Å, b = 6.548 Å, c = 12.051 Å
α = 105.17°, β = 105.17°, γ = 31.33°
Element x y z (fractional)
Dy 0.000 0.000 0.000
Tm 0.024 0.024 0.704
Tm 0.288 0.288 0.113
Tm 0.351 0.351 0.470
Tm 0.649 0.649 0.530
Tm 0.712 0.712 0.887
Tm 0.976 0.976 0.296
Zr 0.324 0.324 0.737
Zr 0.676 0.676 0.263

# Dy5Tm8Zr
Theoretical X-ray powder pattern, Cu Kα X-rays. Input: a DFT-relaxed cell (PBE, Alexandria).

Top 10 peaks for 2θ = 10–80°, by angle:
d 3.150, 28.34 deg, rel. 91
d 3.052, 29.26 deg, rel. 58
d 2.916, 30.65 deg, rel. 100
d 2.794, 32.03 deg, rel. 85
d 2.739, 32.70 deg, rel. 83
d 2.632, 34.06 deg, rel. 36
d 2.600, 34.50 deg, rel. 48
d 2.577, 34.81 deg, rel. 43
d 1.628, 56.51 deg, rel. 31
d 1.530, 60.52 deg, rel. 33

Crystal structure
a = 8.237 Å, b = 8.237 Å, c = 9.186 Å
α = 122.64°, β = 122.64°, γ = 71.40°
Element x y z (fractional)
Dy 0.000 0.000 0.000
Dy 0.231 0.768 0.287
Dy 0.232 0.769 0.713
Dy 0.401 0.250 0.020
Dy 0.750 0.599 0.980
Tm 0.035 0.524 0.781
Tm 0.166 0.407 0.291
Tm 0.394 0.244 0.619
Tm 0.476 0.965 0.219
Tm 0.593 0.834 0.709
Tm 0.756 0.606 0.381
Tm 0.866 0.116 0.674
Tm 0.884 0.134 0.326
Zr 0.613 0.387 0.500

# Dy3TmZr
Theoretical X-ray powder pattern, Cu Kα X-rays. Input: a DFT-relaxed cell (PBE, Alexandria).

Top 10 peaks for 2θ = 10–80°, by angle:
d 3.052, 29.26 deg, rel. 31
d 3.038, 29.40 deg, rel. 17
d 2.749, 32.58 deg, rel. 48
d 2.677, 33.47 deg, rel. 100
d 2.664, 33.64 deg, rel. 34
d 2.655, 33.76 deg, rel. 33
d 2.642, 33.93 deg, rel. 32
d 1.757, 52.06 deg, rel. 25
d 1.473, 63.10 deg, rel. 17
d 1.470, 63.27 deg, rel. 17

Crystal structure
a = 6.109 Å, b = 6.567 Å, c = 8.132 Å
α = 102.49°, β = 111.68°, γ = 90.12°
Element x y z (fractional)
Dy 0.093 0.241 0.000
Dy 0.292 0.669 0.402
Dy 0.322 0.563 0.803
Dy 0.678 0.437 0.197
Dy 0.708 0.331 0.598
Dy 0.907 0.759 0.000
Tm 0.122 0.150 0.406
Tm 0.878 0.850 0.594
Zr 0.481 0.052 0.811
Zr 0.519 0.948 0.189